The following is a computed powder diffractogram of MnFeCuMoAu. It was derived from a crystal structure in Alexandria, relaxed with PBE, using copper Kα.
No peak broadening, texture or thermal motion is included.

Most intense lines, 2θ = 5–70°, sorted by position:
Position (°2θ), intensity
10.5, 37.5
31.5, 11.6
31.7, 6.7
35.0, 36.4
41.2, 100.0
42.7, 9.0
44.5, 45.1
54.2, 7.4
63.4, 11.2
64.8, 14.2

Structural model:
```
data_MnFeCuMoAu
_symmetry_space_group_name_H-M 'P 1'
_symmetry_Int_Tables_number 1
_symmetry_space_group_name_Hall 'P 1'
_cell_length_a 8.706
_cell_length_b 8.706
_cell_length_c 8.706
_cell_angle_alpha 160.97
_cell_angle_beta 160.97
_cell_angle_gamma 27.04
loop_
_atom_site_label
_atom_site_fract_x
_atom_site_fract_y
_atom_site_fract_z
_atom_site_occupancy
Mn1 0.000 0.000 0.000 1
Fe1 0.414 0.414 0.000 1
Cu1 0.591 0.591 0.000 1
Mo1 0.823 0.823 0.000 1
Au1 0.198 0.198 0.000 1
```